This entry pairs a crystal structure of Co5RuO8 with its theoretical powder X-ray diffraction pattern. Radiation: Cu Ka. Structure: a DFT-relaxed cell (PBE+U, Alexandria).
Kinematic intensities with the Lorentz-polarization factor, no thermal factor.

Cell and atoms:
Cell lengths 6.030, 6.030, 6.030 Å; angles 59.75, 59.75, 59.75 degrees
Fractional positions:
Co 0.000 0.500 0.500
Co 0.133 0.133 0.133
Co 0.500 0.000 0.500
Co 0.500 0.500 0.000
Co 0.867 0.867 0.867
Ru 0.500 0.500 0.500
O 0.265 0.265 0.265
O 0.266 0.266 0.730
O 0.266 0.730 0.266
O 0.270 0.734 0.734
O 0.730 0.266 0.266
O 0.734 0.270 0.734
O 0.734 0.734 0.270
O 0.735 0.735 0.735

Most intense lines, 2θ = 5–70°, by angle:
| d/Å | I (rel.) |
| --- | --- |
| 4.908 | 33 |
| 3.003 | 28 |
| 2.573 | 36 |
| 2.565 | 100 |
| 2.467 | 8 |
| 2.454 | 12 |
| 2.128 | 31 |
| 1.637 | 41 |
| 1.508 | 28 |
| 1.502 | 30 |